[1]
DyHo2Er: simulated powder XRD pattern (Cu Kα X-rays), based on DFT lattice parameters and positions (GGA-PBE).
Intensities are scaled so that the largest is 100.

```
DyHo2Er
1.0
5.5675 0.0000 0.0000
0.0000 7.2032 0.0000
0.0000 0.0000 6.2260
Dy Ho Er
2 4 2
direct
0.2500 0.2500 0.1665
0.7500 0.7500 0.8335
0.2500 0.0003 0.6668
0.2500 0.4997 0.6668
0.7500 0.9997 0.3332
0.7500 0.5003 0.3332
0.2500 0.7500 0.1672
0.7500 0.2500 0.8328
```

Main lines, by angle (2θ = 10–80°):
2θ (°)	I_rel
28.6	24
32.2	24
32.9	100
43.6	15
50.7	20
57.8	20
61.4	23
61.8	17
69.1	4
74.7	3

[2]
Ho3Sn4: simulated powder XRD pattern (Cu Kα X-rays), based on DFT lattice parameters and positions (GGA-PBE).
Intensities are scaled so that the largest is 100.

```
Ho3Sn4
1.0
2.1626 -5.7052 0.0000
2.1626 5.7052 0.0000
0.0000 0.0000 15.4734
Ho Sn
6 8
direct
0.0655 0.9345 0.7500
0.3374 0.6626 0.5980
0.3374 0.6626 0.9020
0.6626 0.3374 0.0980
0.6626 0.3374 0.4020
0.9345 0.0655 0.2500
0.0000 0.0000 0.0000
0.0000 0.0000 0.5000
0.2001 0.7999 0.2500
0.3716 0.6284 0.1078
0.3716 0.6284 0.3922
0.6284 0.3716 0.6078
0.6284 0.3716 0.8922
0.7999 0.2001 0.7500
```

Main lines, by angle (2θ = 10–80°):
2θ (°)	I_rel
31.3	57
31.9	30
32.0	100
33.4	25
34.8	20
35.9	25
39.2	41
41.8	33
43.1	15
69.1	23

[3]
MnBeAl2: simulated powder XRD pattern (Cu Kα X-rays), based on DFT lattice parameters and positions (GGA-PBE).
Intensities are scaled so that the largest is 100.

```
MnBeAl2
1.0
2.9360 0.0000 0.0000
0.0000 2.9360 0.0000
0.0000 0.0000 5.7748
Mn Be Al
1 1 2
direct
0.0000 0.0000 0.0000
0.5000 0.5000 0.8200
0.0000 0.0000 0.5670
0.5000 0.5000 0.2447
```

Main lines, by angle (2θ = 10–80°):
2θ (°)	I_rel
15.3	45
30.4	31
31.0	13
34.3	33
43.6	60
44.0	100
46.5	10
57.2	12
63.4	19
66.2	10

[4]
Ta5H3: simulated powder XRD pattern (Cu Kα X-rays), based on DFT lattice parameters and positions (GGA-PBE).
Intensities are scaled so that the largest is 100.

```
Ta5H3
1.0
3.4553 0.0000 0.0000
1.6700 5.3499 0.0000
1.7015 0.0319 5.3418
Ta H
5 3
direct
0.0000 0.0000 0.0000
0.1668 0.4212 0.2037
0.3836 0.8095 0.4071
0.5922 0.2002 0.6095
0.7750 0.6226 0.8117
0.2292 0.5046 0.5130
0.5339 0.1156 0.2992
0.6395 0.3095 0.9092
```

Main lines, by angle (2θ = 10–80°):
2θ (°)	I_rel
37.0	51
37.1	50
37.4	100
37.5	48
37.7	48
53.0	18
54.2	18
66.9	18
67.1	18
67.7	18

[5]
La3AgH3: simulated powder XRD pattern (Cu Kα X-rays), based on DFT lattice parameters and positions (GGA-PBE).
Intensities are scaled so that the largest is 100.

```
La3AgH3
1.0
6.6265 0.0000 0.0000
0.0000 6.6265 0.0000
0.0000 0.0000 6.6265
La Ag H
6 2 6
direct
0.0000 0.2500 0.5000
0.0000 0.7500 0.5000
0.2500 0.5000 0.0000
0.5000 0.0000 0.2500
0.5000 0.0000 0.7500
0.7500 0.5000 0.0000
0.0000 0.0000 0.0000
0.5000 0.5000 0.5000
0.0000 0.5000 0.2500
0.0000 0.5000 0.7500
0.2500 0.0000 0.5000
0.5000 0.2500 0.0000
0.5000 0.7500 0.0000
0.7500 0.0000 0.5000
```

Main lines, by angle (2θ = 10–80°):
2θ (°)	I_rel
26.9	29
30.2	100
33.1	68
47.5	12
49.6	25
51.6	37
55.5	17
64.4	23
77.6	20
79.2	10